ZrTlAgTeSe2: theoretical powder X-ray diffraction pattern (a wavelength of 1.5418 Å), based on a crystal structure in OQMD, relaxed with PBE.
Neutral-atom scattering factors, no anomalous dispersion.

Structure:
Cell lengths 8.2914, 4.0577, 10.6156 Å; angles 90.00, 109.28, 90.00 degrees
Space group P2_1/m (No. 11)
One atom of each set of equivalent atoms:
1 Zr 0.2130 0.2500 0.1754
2 Tl 0.2341 0.7500 0.6922
3 Ag 0.4320 0.7500 0.3955
4 Te 0.0669 0.2500 0.8737
5 Se 0.2311 0.2500 0.4286
6 Se 0.4133 0.7500 0.1432

Principal peaks in the range 2θ = 5–70°, sorted by position:
2θ/deg	intensity
16.52	23
27.06	25
28.25	70
28.85	20
30.87	100
31.77	29
33.73	63
34.79	20
35.08	41
39.50	25
44.66	37
52.60	25

***

Tm2Ag2Te3Se: theoretical powder X-ray diffraction pattern (a wavelength of 1.5418 Å), based on a crystal structure in OQMD, relaxed with PBE.
Neutral-atom scattering factors, no anomalous dispersion.

Structure:
Cell lengths 9.6573, 10.0570, 4.5305 Å; angles 90.00, 90.45, 90.00 degrees
Space group Cm (No. 8)
One atom of each set of equivalent atoms:
1 Tm 0.0000 0.0000 0.0000
2 Tm 0.0270 0.5000 0.3798
3 Ag 0.2725 0.2491 0.2093
4 Te 0.0215 0.2955 0.8944
5 Te 0.2175 0.0000 0.4887
6 Se 0.3162 0.5000 0.4758

Principal peaks in the range 2θ = 5–70°, sorted by position:
2θ/deg	intensity
26.48	76
26.88	39
27.09	60
32.33	91
32.52	41
34.56	100
35.48	42
35.71	89
37.24	76
43.71	51
43.88	96
52.55	39

***

YAgTeSe: theoretical powder X-ray diffraction pattern (a wavelength of 1.5418 Å), based on a crystal structure in OQMD, relaxed with PBE.
Neutral-atom scattering factors, no anomalous dispersion.

Structure:
Cell lengths 9.4467, 10.2424, 4.4778 Å; angles 90.00, 90.00, 90.00 degrees
Space group Cmm2 (No. 35)
One atom of each set of equivalent atoms:
1 Y 0.0000 0.0000 0.0000
2 Y 0.0000 0.5000 0.3882
3 Ag 0.2500 0.2500 0.2290
4 Te 0.0000 0.2934 0.8961
5 Se 0.2001 0.0000 0.4763

Principal peaks in the range 2θ = 5–70°, sorted by position:
2θ/deg	intensity
26.44	58
27.45	100
27.78	24
32.64	92
34.37	47
35.04	57
35.95	26
38.10	48
44.04	57
45.08	26
48.37	25
52.73	24

***

YAgSe2: theoretical powder X-ray diffraction pattern (a wavelength of 1.5418 Å), based on a crystal structure in OQMD, relaxed with PBE.
Neutral-atom scattering factors, no anomalous dispersion.

Structure:
Cell lengths 4.2576, 6.8284, 13.8291 Å; angles 90.00, 90.00, 90.00 degrees
Space group P2_12_12_1 (No. 19)
One atom of each set of equivalent atoms:
1 Y 0.2224 0.2066 0.3732
2 Ag 0.0043 0.7044 0.3724
3 Se 0.2231 0.0899 0.7264
4 Se 0.2292 0.4925 0.5263

Principal peaks in the range 2θ = 5–70°, sorted by position:
2θ/deg	intensity
21.84	19
27.86	100
31.46	22
32.64	23
34.29	17
36.14	23
37.00	57
39.06	15
44.71	23
45.12	29
45.67	15
48.98	18

***

Si11Ag3: theoretical powder X-ray diffraction pattern (a wavelength of 1.5418 Å), based on a crystal structure in OQMD, relaxed with PBE.
Neutral-atom scattering factors, no anomalous dispersion.

Structure:
Cell lengths 11.5484, 7.8288, 5.8575 Å; angles 90.00, 100.91, 90.00 degrees
Space group Cm (No. 8)
One atom of each set of equivalent atoms:
1 Si 0.0000 0.0000 0.0000
2 Si 0.0066 0.1622 0.6199
3 Si 0.1717 0.5000 0.2856
4 Si 0.2120 0.1808 0.7450
5 Si 0.2928 0.3121 0.1065
6 Si 0.3364 0.0000 0.5748
7 Si 0.4963 0.2472 0.2277
8 Ag 0.0096 0.5000 0.9047
9 Ag 0.2352 0.0000 0.1543
10 Ag 0.2653 0.5000 0.7087

Principal peaks in the range 2θ = 5–70°, sorted by position:
2θ/deg	intensity
15.41	42
21.79	69
22.72	50
28.09	100
30.31	64
31.56	80
39.34	42
39.71	42
43.36	35
44.43	34
44.68	33
58.06	31

***

Si3Ag2Sn2: theoretical powder X-ray diffraction pattern (a wavelength of 1.5418 Å), based on a crystal structure in OQMD, relaxed with PBE.
Neutral-atom scattering factors, no anomalous dispersion.

Structure:
Cell lengths 4.5860, 4.5860, 24.1903 Å; angles 90.00, 90.00, 120.00 degrees
Space group R3m (No. 160, hexagonal axes)
One atom of each set of equivalent atoms:
1 Si 0.0000 0.0000 0.0000
2 Si 0.0000 0.0000 0.2207
3 Si 0.0000 0.0000 0.7168
4 Ag 0.0000 0.0000 0.3514
5 Ag 0.0000 0.0000 0.8346
6 Sn 0.0000 0.0000 0.1115
7 Sn 0.0000 0.0000 0.5903

Principal peaks in the range 2θ = 5–70°, sorted by position:
2θ/deg	intensity
26.86	100
29.09	9
34.40	7
37.38	66
39.29	81
48.23	21
52.45	11
54.45	7
55.35	21
61.22	12
63.90	18
69.97	21

***

Ta3Si5Ag: theoretical powder X-ray diffraction pattern (a wavelength of 1.5418 Å), based on a crystal structure in OQMD, relaxed with PBE.
Neutral-atom scattering factors, no anomalous dispersion.

Structure:
Cell lengths 5.5698, 5.5698, 6.4398 Å; angles 90.00, 90.00, 120.00 degrees
Space group P6/mmm (No. 191)
One atom of each set of equivalent atoms:
1 Ta 0.0000 0.5000 0.0000
2 Si 0.0000 0.0000 0.0000
3 Si 0.3333 0.6667 0.3219
4 Ag 0.0000 0.0000 0.5000

Principal peaks in the range 2θ = 5–70°, sorted by position:
2θ/deg	intensity
13.75	100
23.04	65
27.71	46
35.11	39
37.28	66
39.92	65
42.09	13
46.29	19
47.08	89
52.14	15
57.47	16
67.23	19

***

SiTc2Ag: theoretical powder X-ray diffraction pattern (a wavelength of 1.5418 Å), based on a crystal structure in OQMD, relaxed with PBE.
Neutral-atom scattering factors, no anomalous dispersion.

Structure:
Cell lengths 6.1799, 6.1799, 6.1799 Å; angles 90.00, 90.00, 90.00 degrees
Space group F-43m (No. 216)
One atom of each set of equivalent atoms:
1 Si 0.0000 0.0000 0.0000
2 Tc 0.0000 0.0000 0.5000
3 Tc 0.2500 0.2500 0.7500
4 Ag 0.2500 0.2500 0.2500

Principal peaks in the range 2θ = 5–70°, sorted by position:
2θ/deg	intensity
24.96	12
28.90	8
41.32	100
48.88	6
51.21	2
59.87	16
65.88	2
67.82	3

***

Zr4Si4Ag: theoretical powder X-ray diffraction pattern (a wavelength of 1.5418 Å), based on a crystal structure in OQMD, relaxed with PBE.
Neutral-atom scattering factors, no anomalous dispersion.

Structure:
Cell lengths 9.8980, 3.8741, 8.8968 Å; angles 90.00, 110.66, 90.00 degrees
Space group C2/m (No. 12)
One atom of each set of equivalent atoms:
1 Zr 0.1063 0.0000 0.3838
2 Zr 0.2460 0.0000 0.8375
3 Si 0.0425 0.5000 0.8395
4 Si 0.1169 0.5000 0.6112
5 Ag 0.0000 0.0000 0.0000

Principal peaks in the range 2θ = 5–70°, sorted by position:
2θ/deg	intensity
24.91	33
30.67	19
31.19	48
33.65	33
35.26	100
35.75	98
36.42	39
38.26	46
42.30	33
44.14	18
46.90	39
60.80	26

***

SmAgSnTe3: theoretical powder X-ray diffraction pattern (a wavelength of 1.5418 Å), based on a crystal structure in OQMD, relaxed with PBE.
Neutral-atom scattering factors, no anomalous dispersion.

Structure:
Cell lengths 11.3453, 4.3803, 14.7441 Å; angles 90.00, 90.00, 90.00 degrees
Space group Pnma (No. 62)
One atom of each set of equivalent atoms:
1 Sm 0.0216 0.2500 0.2410
2 Ag 0.2375 0.2500 0.7261
3 Sn 0.2126 0.7500 0.5119
4 Te 0.0397 0.2500 0.6062
5 Te 0.0834 0.7500 0.0972
6 Te 0.2342 0.7500 0.8489

Principal peaks in the range 2θ = 5–70°, sorted by position:
2θ/deg	intensity
12.01	11
26.49	24
27.27	13
28.41	57
31.57	100
31.85	11
36.32	10
39.98	16
40.15	27
41.22	27
58.79	12
69.11	11

***

SmAgSnTe3: theoretical powder X-ray diffraction pattern (a wavelength of 1.5418 Å), based on a crystal structure in OQMD, relaxed with PBE.
Neutral-atom scattering factors, no anomalous dispersion.

Structure:
Cell lengths 12.5116, 4.5333, 12.6949 Å; angles 90.00, 90.00, 90.00 degrees
Space group Pnma (No. 62)
One atom of each set of equivalent atoms:
1 Sm 0.0231 0.2500 0.1889
2 Ag 0.2372 0.7500 0.2954
3 Sn 0.1833 0.2500 0.4890
4 Te 0.0294 0.7500 0.3709
5 Te 0.0953 0.2500 0.9396
6 Te 0.2168 0.7500 0.6716

Principal peaks in the range 2θ = 5–70°, sorted by position:
2θ/deg	intensity
25.17	27
28.08	39
28.54	25
29.75	100
31.90	39
32.28	50
32.40	61
35.26	42
36.60	24
39.77	63
41.65	28
41.84	22

***

SmYTlAg2: theoretical powder X-ray diffraction pattern (a wavelength of 1.5418 Å), based on a crystal structure in OQMD, relaxed with PBE.
Neutral-atom scattering factors, no anomalous dispersion.

Structure:
Cell lengths 3.5406, 4.6264, 14.9272 Å; angles 90.00, 90.00, 90.00 degrees
Space group Amm2 (No. 38)
One atom of each set of equivalent atoms:
1 Sm 0.0000 0.0000 0.0000
2 Y 0.0000 0.0000 0.2434
3 Tl 0.5000 0.0000 0.6220
4 Ag 0.5000 0.0000 0.4208
5 Ag 0.5000 0.0000 0.8187

Principal peaks in the range 2θ = 5–70°, sorted by position:
2θ/deg	intensity
26.30	14
32.40	100
34.93	52
35.80	72
38.93	34
44.25	12
51.63	15
53.30	31
64.42	25
65.32	14
66.47	26
68.48	11